[1]
For Tm2Ni3P2, the GGA-PBE geometry in Alexandria gives the calculated XRD peak list in this record (CuKα).

Largest 10 diffraction maxima, low angle first, 2θ from 15° to 90°:
2θ 28.18, rel. 42
2θ 30.49, rel. 40
2θ 32.89, rel. 61
2θ 36.92, rel. 68
2θ 37.00, rel. 100
2θ 40.69, rel. 47
2θ 41.04, rel. 49
2θ 41.33, rel. 39
2θ 44.26, rel. 67
2θ 50.07, rel. 40

Crystal structure
```
data_Tm2Ni3P2
_chemical_formula_sum 'Tm4 Ni6 P4'
_symmetry_space_group_name_H-M 'P 1'
_symmetry_Int_Tables_number 1
_cell_length_a 9.792
_cell_length_b 3.644
_cell_length_c 6.597
_cell_angle_alpha 90.00
_cell_angle_beta 116.82
_cell_angle_gamma 90.00
loop_
_symmetry_equiv_pos_as_xyz
'x,y,z'
loop_
_atom_site_label
_atom_site_type_symbol
_atom_site_fract_x
_atom_site_fract_y
_atom_site_fract_z
Tm1 Tm 0.132 0.000 0.268
Tm2 Tm 0.368 0.500 0.732
Tm3 Tm 0.632 0.500 0.268
Tm4 Tm 0.868 0.000 0.732
Ni1 Ni 0.000 0.500 0.500
Ni2 Ni 0.135 0.500 0.930
Ni3 Ni 0.365 0.000 0.070
Ni4 Ni 0.500 0.000 0.500
Ni5 Ni 0.635 0.000 0.930
Ni6 Ni 0.865 0.500 0.070
P1 P 0.152 0.000 0.718
P2 P 0.348 0.500 0.282
P3 P 0.652 0.500 0.718
P4 P 0.848 0.000 0.282
```

=====

[2]
For TmNi10P3, the GGA-PBE geometry in Alexandria gives the calculated XRD peak list in this record (CuKα).

Largest 10 diffraction maxima, low angle first, 2θ from 15° to 90°:
2θ 15.86, rel. 34
2θ 35.94, rel. 95
2θ 39.51, rel. 51
2θ 42.02, rel. 100
2θ 45.94, rel. 59
2θ 48.18, rel. 49
2θ 54.47, rel. 50
2θ 69.35, rel. 27
2θ 71.67, rel. 40
2θ 85.06, rel. 29

Crystal structure
```
data_TmNi10P3
_chemical_formula_sum 'Tm2 Ni20 P6'
_symmetry_space_group_name_H-M 'P 1'
_symmetry_Int_Tables_number 1
_cell_length_a 7.901
_cell_length_b 7.901
_cell_length_c 7.901
_cell_angle_alpha 60.00
_cell_angle_beta 60.00
_cell_angle_gamma 60.00
loop_
_symmetry_equiv_pos_as_xyz
'x,y,z'
loop_
_atom_site_label
_atom_site_type_symbol
_atom_site_fract_x
_atom_site_fract_y
_atom_site_fract_z
Tm1 Tm 0.250 0.250 0.250
Tm2 Tm 0.750 0.750 0.750
Ni1 Ni 0.000 0.000 0.350
Ni2 Ni 0.000 0.000 0.650
Ni3 Ni 0.000 0.350 0.000
Ni4 Ni 0.000 0.350 0.650
Ni5 Ni 0.000 0.650 0.000
Ni6 Ni 0.000 0.650 0.350
Ni7 Ni 0.160 0.613 0.613
Ni8 Ni 0.350 0.000 0.000
Ni9 Ni 0.350 0.000 0.650
Ni10 Ni 0.350 0.650 0.000
Ni11 Ni 0.387 0.387 0.387
Ni12 Ni 0.387 0.387 0.840
Ni13 Ni 0.387 0.840 0.387
Ni14 Ni 0.613 0.160 0.613
Ni15 Ni 0.613 0.613 0.160
Ni16 Ni 0.613 0.613 0.613
Ni17 Ni 0.650 0.000 0.000
Ni18 Ni 0.650 0.000 0.350
Ni19 Ni 0.650 0.350 0.000
Ni20 Ni 0.840 0.387 0.387
P1 P 0.260 0.260 0.740
P2 P 0.260 0.740 0.260
P3 P 0.260 0.740 0.740
P4 P 0.740 0.260 0.260
P5 P 0.740 0.260 0.740
P6 P 0.740 0.740 0.260
```